Entry 1:
Structure and theoretical X-ray diffraction stick pattern of FeHO2 (a cell relaxed with PBE+U; Cu Kα (λ = 1.5418 Å)).

Structure:
abc: 10.7286 10.7286 3.0885
angles: 90.00 90.00 90.00
Space group I4/m (No. 87)
One atom of each set of equivalent atoms:
Fe 0.1568 0.6787 0.0000 [8 per cell]
H 0.0434 0.2274 0.0000 [8 per cell]
O 0.0395 0.3194 0.0000 [8 per cell]
O 0.1577 0.7956 0.5000 [8 per cell]

Principal peaks in the range 2θ = 5–70°, sorted by position:
| hkl | two_theta | d_spacing | I (rel.) |
| --- | --- | --- | --- |
| 1 1 0 | 11.66 | 7.586 | 49 |
| 2 0 0 | 16.53 | 5.364 | 100 |
| 3 1 0 | 26.27 | 3.393 | 36 |
| 4 0 0 | 33.41 | 2.682 | 7 |
| 1 2 1 | 34.54 | 2.597 | 52 |
| 3 3 0 | 35.50 | 2.529 | 10 |
| 3 0 1 | 38.51 | 2.337 | 11 |
| 5 1 0 | 42.99 | 2.104 | 11 |
| 1 4 1 | 45.59 | 1.990 | 41 |
| 6 0 0 | 51.08 | 1.788 | 14 |
| 5 2 1 | 54.84 | 1.674 | 22 |
| 4 5 1 | 63.13 | 1.473 | 21 |



Entry 2:
Structure and theoretical X-ray diffraction stick pattern of FeHO2 (a cell relaxed with PBE+U; Cu Kα (λ = 1.5418 Å)).

Structure:
abc: 3.0238 4.6526 10.0121
angles: 90.00 90.00 90.00
Space group Pmc2_1 (No. 26)
One atom of each set of equivalent atoms:
Fe 0.0000 0.2035 0.0000 [2 per cell]
Fe 0.5000 0.2936 0.2888 [2 per cell]
H 0.0000 0.1530 0.7344 [2 per cell]
H 0.5000 0.3448 0.5780 [2 per cell]
O 0.0000 0.0463 0.1977 [2 per cell]
O 0.0000 0.4546 0.8443 [2 per cell]
O 0.5000 0.0453 0.4418 [2 per cell]
O 0.5000 0.4478 0.0993 [2 per cell]

Principal peaks in the range 2θ = 5–70°, sorted by position:
| hkl | two_theta | d_spacing | I (rel.) |
| --- | --- | --- | --- |
| 0 1 1 | 21.06 | 4.219 | 100 |
| 0 1 3 | 33.03 | 2.712 | 45 |
| 1 0 2 | 34.66 | 2.588 | 27 |
| 0 0 4 | 35.88 | 2.503 | 15 |
| 1 1 1 | 36.56 | 2.458 | 78 |
| 1 1 2 | 39.84 | 2.263 | 15 |
| 0 1 4 | 40.94 | 2.204 | 17 |
| 1 2 2 | 52.92 | 1.730 | 41 |
| 0 2 4 | 53.80 | 1.704 | 14 |
| 1 1 5 | 58.76 | 1.571 | 27 |
| 2 0 0 | 61.31 | 1.512 | 13 |
| 1 0 6 | 63.70 | 1.461 | 14 |



Entry 3:
Structure and theoretical X-ray diffraction stick pattern of FeHO2 (a cell relaxed with PBE+U; Cu Kα (λ = 1.5418 Å)).

Structure:
abc: 10.9514 3.0809 5.3158
angles: 90.00 118.86 90.00
Space group Cc (No. 9)
One atom of each set of equivalent atoms:
Fe 0.0000 0.2487 0.0000 [4 per cell]
H 0.2768 0.2528 0.6081 [4 per cell]
O 0.0920 0.2554 0.7561 [4 per cell]
O 0.3789 0.2504 0.7114 [4 per cell]

Principal peaks in the range 2θ = 5–70°, sorted by position:
| hkl | two_theta | d_spacing | I (rel.) |
| --- | --- | --- | --- |
| 2 0 0 | 18.50 | 4.795 | 100 |
| 1 1 -1 | 33.62 | 2.666 | 17 |
| 2 0 -2 | 33.72 | 2.658 | 9 |
| 1 1 1 | 38.63 | 2.331 | 56 |
| 4 0 -2 | 38.79 | 2.322 | 24 |
| 3 1 1 | 51.24 | 1.783 | 35 |
| 6 0 -2 | 51.40 | 1.778 | 9 |
| 0 2 0 | 60.06 | 1.540 | 6 |
| 3 1 -3 | 60.25 | 1.536 | 13 |
| 1 1 -3 | 63.55 | 1.464 | 6 |
| 4 0 2 | 68.39 | 1.372 | 7 |
| 7 1 -1 | 68.49 | 1.370 | 7 |